Starting from a GGA-PBE-relaxed structure, the PXRD pattern of KCdF3 was simulated for copper Kα.
Intensities are scaled so that the largest is 100.

Most intense lines, 15 to 90 degrees two-theta, in order of falling intensity:
| d_spacing | intensity | h k l |
| --- | --- | --- |
| 3.115 | 100 | 1 2 1 |
| 4.407 | 77 | 1 0 1 |
| 2.204 | 55 | 0 4 0 |
| 1.791 | 38 | 1 2 3 |
| 3.145 | 26 | 2 0 0 |
| 1.970 | 26 | 2 2 2 |
| 3.093 | 24 | 0 0 2 |
| 1.810 | 20 | 3 2 1 |
| 1.558 | 19 | 2 4 2 |
| 1.803 | 12 | 2 4 0 |

Structural model:
```
KCdF3
1.0
6.289 0.000 0.000
0.000 8.802 0.000
0.000 0.000 6.187
K Cd F
4 4 12
Cartesian
0.261 2.200 0.051
2.884 6.601 3.144
3.405 2.200 3.042
6.029 6.601 6.136
0.000 0.000 3.093
0.000 4.401 3.093
3.145 0.000 0.000
3.145 4.401 0.000
0.171 6.601 2.596
1.304 4.772 4.914
1.304 8.431 4.914
1.841 0.371 1.821
1.841 4.030 1.821
2.974 2.200 5.689
3.316 6.601 0.497
4.449 4.772 4.366
4.449 8.431 4.366
4.985 0.371 1.272
4.985 4.030 1.272
6.118 2.200 3.591
```